# Ca2CrN3
Theoretical PXRD pattern, copper Kα. Input: the GGA-PBE geometry in the Materials Project.

Most intense lines, 2θ from 10° to 90°, by angle:
d/Å  I (rel.)  (hkl)
5.231  34  0 2 0
2.915  33  0 0 4
2.748  96  2 0 0
2.628  100  1 3 2
2.500  43  1 1 4
1.999  35  2 0 4

Crystal structure
Unit cell a=5.495 b=10.462 c=11.658 alpha=90.00 beta=90.00 gamma=90.00
Space group Cmce (No. 64)
Inequivalent atoms, fractional coordinates:
Ca  0.000  0.050  0.142
Ca  0.000  0.142  0.580
Cr  0.000  0.245  0.339
N  0.000  0.081  0.367
N  0.000  0.156  0.963
N  0.250  0.212  0.750